Entry 1:
Structure and theoretical X-ray diffraction stick pattern of Li9Mn7O16 (a DFT-relaxed cell (PBE+U, the Materials Project); a wavelength of 1.5418 Å).
Peak positions follow from Bragg's law for the DFT cell and can differ from measured ones.

Largest 8 diffraction maxima, by intensity, 2θ from 10° to 90°:
d 4.849, 2θ 18.30, rel. 100.0
d 2.226, 2θ 40.52, rel. 35.0
d 2.047, 2θ 44.25, rel. 27.4
d 2.040, 2θ 44.41, rel. 27.1
d 2.652, 2θ 33.80, rel. 17.9
d 1.504, 2θ 61.68, rel. 16.0
d 2.485, 2θ 36.15, rel. 11.8
d 2.469, 2θ 36.39, rel. 11.7

Crystal structure
a = 5.0891 Å, b = 6.9629 Å, c = 8.7300 Å
α = 100.04°, β = 93.64°, γ = 101.06°
Fractional coordinates of all 32 atoms:
Li: 0.0000 0.0000 0.0000
Li: 0.2320 0.7097 0.8145
Li: 0.2398 0.4438 0.0615
Li: 0.2420 0.1842 0.3070
Li: 0.2498 0.9383 0.5666
Li: 0.7502 0.0617 0.4334
Li: 0.7580 0.8158 0.6930
Li: 0.7602 0.5562 0.9385
Li: 0.7680 0.2903 0.1855
Mn: 0.0000 0.5000 0.5000
Mn: 0.0043 0.2362 0.7563
Mn: 0.4963 0.6278 0.3724
Mn: 0.4997 0.1131 0.8776
Mn: 0.5003 0.8869 0.1224
Mn: 0.5037 0.3722 0.6276
Mn: 0.9957 0.7638 0.2437
O: 0.1384 0.4701 0.2926
O: 0.1387 0.7226 0.0445
O: 0.1410 0.2238 0.5498
O: 0.1515 0.9739 0.7892
O: 0.3606 0.9069 0.3267
O: 0.3617 0.6490 0.5802
O: 0.3829 0.3670 0.8420
O: 0.3962 0.1316 0.0872
O: 0.6038 0.8684 0.9128
O: 0.6171 0.6330 0.1580
O: 0.6383 0.3510 0.4198
O: 0.6394 0.0931 0.6733
O: 0.8485 0.0261 0.2108
O: 0.8590 0.7762 0.4502
O: 0.8613 0.2774 0.9555
O: 0.8616 0.5299 0.7074

Entry 2:
Structure and theoretical X-ray diffraction stick pattern of Nb2MoO8 (a DFT-relaxed cell (PBE+U, the Materials Project); a wavelength of 1.5418 Å).
Peak positions follow from Bragg's law for the DFT cell and can differ from measured ones.

Largest 8 diffraction maxima, by intensity, 2θ from 10° to 90°:
d 3.413, 2θ 26.11, rel. 100.0
d 4.562, 2θ 19.46, rel. 29.4
d 2.826, 2θ 31.66, rel. 29.1
d 1.829, 2θ 49.85, rel. 21.2
d 2.571, 2θ 34.90, rel. 16.7
d 1.979, 2θ 45.85, rel. 15.0
d 3.362, 2θ 26.51, rel. 13.0
d 5.043, 2θ 17.59, rel. 11.9

Crystal structure
a = 10.5523 Å, b = 10.5523 Å, c = 5.1428 Å
α = 90.16°, β = 90.16°, γ = 34.22°
Fractional coordinates of all 22 atoms:
Nb: 0.0528 0.6840 0.7442
Nb: 0.3160 0.9472 0.7558
Nb: 0.6840 0.0528 0.2442
Nb: 0.9472 0.3160 0.2558
Mo: 0.3368 0.6632 0.2500
Mo: 0.6632 0.3368 0.7500
O: 0.0771 0.2430 0.9271
O: 0.1063 0.7808 0.4148
O: 0.1903 0.4349 0.6400
O: 0.2192 0.8937 0.0852
O: 0.2430 0.0771 0.4271
O: 0.3382 0.5576 0.9317
O: 0.4349 0.1903 0.1400
O: 0.4424 0.6618 0.5683
O: 0.5576 0.3382 0.4317
O: 0.5651 0.8097 0.8600
O: 0.6618 0.4424 0.0683
O: 0.7570 0.9229 0.5729
O: 0.7808 0.1063 0.9148
O: 0.8097 0.5651 0.3600
O: 0.8937 0.2192 0.5852
O: 0.9229 0.7570 0.0729

Entry 3:
Structure and theoretical X-ray diffraction stick pattern of Li3FeB2O6 (a DFT-relaxed cell (PBE+U, the Materials Project); a wavelength of 1.5418 Å).
Peak positions follow from Bragg's law for the DFT cell and can differ from measured ones.

Largest 8 diffraction maxima, by intensity, 2θ from 10° to 90°:
d 5.273, 2θ 16.82, rel. 100.0
d 3.625, 2θ 24.56, rel. 88.7
d 4.136, 2θ 21.48, rel. 88.4
d 4.852, 2θ 18.29, rel. 84.2
d 2.950, 2θ 30.30, rel. 71.2
d 2.329, 2θ 38.66, rel. 60.6
d 6.097, 2θ 14.53, rel. 46.6
d 1.893, 2θ 48.05, rel. 33.6

Crystal structure
a = 5.9259 Å, b = 7.8079 Å, c = 10.9693 Å
α = 90.00°, β = 117.16°, γ = 90.00°
Fractional coordinates of all 48 atoms:
Li: 0.0573 0.2026 0.0761
Li: 0.0573 0.2974 0.5761
Li: 0.2712 0.5531 0.1152
Li: 0.2712 0.9469 0.6152
Li: 0.3799 0.7161 0.3776
Li: 0.3799 0.7839 0.8776
Li: 0.6201 0.2161 0.1224
Li: 0.6201 0.2839 0.6224
Li: 0.7288 0.0531 0.3848
Li: 0.7288 0.4469 0.8848
Li: 0.9427 0.7026 0.4239
Li: 0.9427 0.7974 0.9239
Fe: 0.1016 0.1232 0.8339
Fe: 0.1016 0.3768 0.3339
Fe: 0.8984 0.6232 0.6661
Fe: 0.8984 0.8768 0.1661
B: 0.1939 0.0601 0.3921
B: 0.1939 0.4399 0.8921
B: 0.3649 0.5931 0.6280
B: 0.3649 0.9069 0.1280
B: 0.6351 0.0931 0.8720
B: 0.6351 0.4069 0.3720
B: 0.8061 0.5601 0.1079
B: 0.8061 0.9399 0.6079
O: 0.1195 0.1172 0.2588
O: 0.1195 0.3828 0.7588
O: 0.1505 0.6067 0.9130
O: 0.1505 0.8933 0.4130
O: 0.2319 0.5283 0.4971
O: 0.2319 0.9717 0.9971
O: 0.2381 0.7030 0.6766
O: 0.2381 0.7970 0.1766
O: 0.2800 0.1838 0.4941
O: 0.2800 0.3162 0.9941
O: 0.3812 0.0525 0.7922
O: 0.3812 0.4475 0.2922
O: 0.6188 0.5525 0.7078
O: 0.6188 0.9475 0.2078
O: 0.7200 0.6838 0.0059
O: 0.7200 0.8162 0.5059
O: 0.7619 0.2030 0.8234
O: 0.7619 0.2970 0.3234
O: 0.7681 0.0283 0.0029
O: 0.7681 0.4717 0.5029
O: 0.8495 0.1067 0.5870
O: 0.8495 0.3933 0.0870
O: 0.8805 0.6172 0.2412
O: 0.8805 0.8828 0.7412

Entry 4:
Structure and theoretical X-ray diffraction stick pattern of Na4V2C4SO16 (a DFT-relaxed cell (PBE+U, the Materials Project); a wavelength of 1.5418 Å).
Peak positions follow from Bragg's law for the DFT cell and can differ from measured ones.

Largest 8 diffraction maxima, by intensity, 2θ from 10° to 90°:
d 4.244, 2θ 20.93, rel. 100.0
d 2.711, 2θ 33.04, rel. 72.3
d 8.097, 2θ 10.93, rel. 63.7
d 2.675, 2θ 33.50, rel. 39.2
d 2.473, 2θ 36.33, rel. 34.6
d 4.198, 2θ 21.16, rel. 34.4
d 4.984, 2θ 17.80, rel. 32.9
d 1.619, 2θ 56.86, rel. 23.1

Crystal structure
a = 9.9678 Å, b = 9.8942 Å, c = 9.8924 Å
α = 60.50°, β = 59.76°, γ = 59.74°
Fractional coordinates of all 54 atoms:
Na: 0.0452 0.4548 0.4548
Na: 0.2119 0.7881 0.2119
Na: 0.2138 0.2138 0.7862
Na: 0.2137 0.7863 0.7863
Na: 0.4548 0.0452 0.0452
Na: 0.7863 0.2137 0.2137
Na: 0.7862 0.7862 0.2138
Na: 0.7881 0.2119 0.7881
V: 0.1250 0.6269 0.6257
V: 0.6224 0.6257 0.6269
V: 0.6257 0.6224 0.1250
V: 0.6269 0.1250 0.6224
C: 0.4100 0.7637 0.4134
C: 0.4134 0.4128 0.4100
C: 0.4128 0.4134 0.7637
C: 0.4824 0.8430 0.8403
C: 0.7637 0.4100 0.4128
C: 0.8344 0.8403 0.8430
C: 0.8403 0.8344 0.4824
C: 0.8430 0.4824 0.8344
S: 0.0000 0.0000 0.0000
S: 0.2500 0.2500 0.2500
O: 0.0610 0.0620 0.0618
O: 0.0620 0.0610 0.8152
O: 0.0618 0.8152 0.0610
O: 0.1862 0.1922 0.4353
O: 0.1864 0.4353 0.1922
O: 0.1922 0.1862 0.1864
O: 0.2669 0.4384 0.5227
O: 0.2694 0.7630 0.4391
O: 0.2737 0.5300 0.7600
O: 0.4353 0.1864 0.1862
O: 0.4364 0.7600 0.5300
O: 0.4384 0.2669 0.7720
O: 0.4391 0.5285 0.2694
O: 0.4760 0.8144 0.9863
O: 0.4803 0.9878 0.7316
O: 0.4813 0.7332 0.8069
O: 0.5227 0.7720 0.2669
O: 0.5285 0.4391 0.7630
O: 0.5300 0.2737 0.4364
O: 0.7233 0.9863 0.8144
O: 0.7316 0.8004 0.4803
O: 0.7332 0.4813 0.9786
O: 0.7600 0.4364 0.2737
O: 0.7630 0.2693 0.5285
O: 0.7720 0.5227 0.4384
O: 0.8004 0.7316 0.9878
O: 0.8069 0.9786 0.4813
O: 0.8144 0.4760 0.7233
O: 0.8152 0.0618 0.0620
O: 0.9786 0.8069 0.7332
O: 0.9863 0.7233 0.4760
O: 0.9878 0.4803 0.8004

Entry 5:
Structure and theoretical X-ray diffraction stick pattern of NaSrSbWO6 (a DFT-relaxed cell (PBE+U, the Materials Project); a wavelength of 1.5418 Å).
Peak positions follow from Bragg's law for the DFT cell and can differ from measured ones.

Largest 8 diffraction maxima, by intensity, 2θ from 10° to 90°:
d 2.966, 2θ 30.13, rel. 100.0
d 4.194, 2θ 21.18, rel. 41.8
d 1.712, 2θ 53.52, rel. 40.3
d 2.097, 2θ 43.14, rel. 32.8
d 1.121, 2θ 86.90, rel. 21.7
d 1.483, 2θ 62.65, rel. 20.0
d 1.326, 2θ 71.08, rel. 18.1
d 1.876, 2θ 48.54, rel. 17.4

Crystal structure
a = 5.9316 Å, b = 5.9316 Å, c = 5.9316 Å
α = 60.00°, β = 60.00°, γ = 60.00°
Fractional coordinates of all 10 atoms:
Na: 0.0000 0.0000 0.0000
Sr: 0.5000 0.5000 0.5000
Sb: 0.7500 0.7500 0.7500
W: 0.2500 0.2500 0.2500
O: 0.0176 0.0176 0.4824
O: 0.0176 0.4824 0.0176
O: 0.0176 0.4824 0.4824
O: 0.4824 0.0176 0.0176
O: 0.4824 0.0176 0.4824
O: 0.4824 0.4824 0.0176

Entry 6:
Structure and theoretical X-ray diffraction stick pattern of NiH2O2 (a DFT-relaxed cell (PBE+U, the Materials Project); a wavelength of 1.5418 Å).
Peak positions follow from Bragg's law for the DFT cell and can differ from measured ones.

Largest 8 diffraction maxima, by intensity, 2θ from 10° to 90°:
d 4.677, 2θ 18.98, rel. 100.0
d 2.360, 2θ 38.13, rel. 59.0
d 2.373, 2θ 37.91, rel. 38.0
d 2.741, 2θ 32.67, rel. 35.2
d 1.583, 2θ 58.30, rel. 25.0
d 1.775, 2θ 51.49, rel. 20.8
d 1.783, 2θ 51.22, rel. 13.7
d 1.787, 2θ 51.10, rel. 10.8

Crystal structure
a = 3.1646 Å, b = 3.1646 Å, c = 4.6769 Å
α = 90.49°, β = 90.49°, γ = 60.04°
Fractional coordinates of all 5 atoms:
Ni: 0.0000 0.0000 0.0000
H: 0.3330 0.3330 0.5733
H: 0.6670 0.6670 0.4267
O: 0.3319 0.3319 0.7814
O: 0.6681 0.6681 0.2186